The following is a calculated X-ray diffraction stick pattern of LaDy3Ru4. It was derived from a cell relaxed with GGA-PBE, using Cu Kα.
Kinematic intensities with the Lorentz-polarization factor, no thermal factor.

The 10 most intense peaks (2θ = 10–90°), sorted by position:
25.95°, 3.433 Å, I = 9; 36.96°, 2.432 Å, I = 100; 37.10°, 2.423 Å, I = 100; 45.83°, 1.980 Å, I = 2; 53.37°, 1.717 Å, I = 35; 60.37°, 1.533 Å, I = 2; 66.50°, 1.406 Å, I = 17; 66.81°, 1.400 Å, I = 52; 78.68°, 1.216 Å, I = 11; 79.03°, 1.212 Å, I = 11

Structure:
a b c (Å): 8.436 8.436 8.436
angles (deg): 33.39 33.39 33.39
Atoms (fractional coordinates):
La: 0.000 0.000 0.000
Dy: 0.247 0.247 0.247
Dy: 0.500 0.500 0.500
Dy: 0.753 0.753 0.753
Ru: 0.126 0.126 0.126
Ru: 0.375 0.375 0.375
Ru: 0.625 0.625 0.625
Ru: 0.874 0.874 0.874

=====

The following is a calculated X-ray diffraction stick pattern of LaDy4S6. It was derived from a cell relaxed with GGA-PBE, using Cu Kα.
Kinematic intensities with the Lorentz-polarization factor, no thermal factor.

The 10 most intense peaks (2θ = 10–90°), sorted by position:
26.33°, 3.385 Å, I = 100; 27.37°, 3.258 Å, I = 51; 27.65°, 3.226 Å, I = 34; 31.24°, 2.863 Å, I = 36; 32.23°, 2.778 Å, I = 81; 33.81°, 2.651 Å, I = 59; 43.73°, 2.070 Å, I = 39; 45.95°, 1.975 Å, I = 56; 46.46°, 1.955 Å, I = 30; 54.19°, 1.693 Å, I = 35

Structure:
a b c (Å): 6.742 6.742 19.880
angles (deg): 90.00 90.00 146.29
Atoms (fractional coordinates):
La: 0.156 0.844 0.750
La: 0.844 0.156 0.250
Dy: 0.093 0.907 0.126
Dy: 0.093 0.907 0.374
Dy: 0.361 0.639 0.040
Dy: 0.361 0.639 0.460
Dy: 0.639 0.361 0.540
Dy: 0.639 0.361 0.960
Dy: 0.907 0.093 0.626
Dy: 0.907 0.093 0.874
S: 0.000 0.000 0.000
S: 0.000 0.000 0.500
S: 0.182 0.818 0.250
S: 0.267 0.733 0.589
S: 0.267 0.733 0.911
S: 0.455 0.545 0.164
S: 0.455 0.545 0.336
S: 0.545 0.455 0.664
S: 0.545 0.455 0.836
S: 0.733 0.267 0.089
S: 0.733 0.267 0.411
S: 0.818 0.182 0.750

=====

The following is a calculated X-ray diffraction stick pattern of La2DyS3. It was derived from a cell relaxed with GGA-PBE, using Cu Kα.
Kinematic intensities with the Lorentz-polarization factor, no thermal factor.

The 10 most intense peaks (2θ = 10–90°), sorted by position:
26.71°, 3.338 Å, I = 19; 26.85°, 3.321 Å, I = 56; 31.06°, 2.880 Å, I = 100; 44.37°, 2.042 Å, I = 24; 44.51°, 2.036 Å, I = 24; 44.60°, 2.031 Å, I = 24; 52.70°, 1.737 Å, I = 13; 52.81°, 1.734 Å, I = 16; 55.28°, 1.662 Å, I = 12; 64.75°, 1.440 Å, I = 11

Structure:
a b c (Å): 7.043 7.043 7.081
angles (deg): 99.58 99.58 120.09
Atoms (fractional coordinates):
La: 0.000 0.000 0.000
La: 0.163 0.837 0.500
La: 0.500 0.500 0.500
La: 0.837 0.163 0.500
Dy: 0.333 0.667 0.000
Dy: 0.667 0.333 0.000
S: 0.079 0.424 0.237
S: 0.268 0.268 0.767
S: 0.424 0.079 0.237
S: 0.576 0.921 0.763
S: 0.732 0.732 0.233
S: 0.921 0.576 0.763

=====

The following is a calculated X-ray diffraction stick pattern of La4Dy11S22. It was derived from a cell relaxed with GGA-PBE, using Cu Kα.
Kinematic intensities with the Lorentz-polarization factor, no thermal factor.

The 10 most intense peaks (2θ = 10–90°), sorted by position:
23.34°, 3.811 Å, I = 80; 24.08°, 3.696 Å, I = 100; 26.08°, 3.417 Å, I = 61; 27.05°, 3.296 Å, I = 47; 27.37°, 3.259 Å, I = 64; 31.12°, 2.874 Å, I = 66; 33.57°, 2.670 Å, I = 57; 41.76°, 2.163 Å, I = 53; 43.61°, 2.075 Å, I = 38; 45.40°, 1.997 Å, I = 46

Structure:
a b c (Å): 19.847 19.847 11.436
angles (deg): 91.76 91.76 11.55
Atoms (fractional coordinates):
La: 0.105 0.105 0.011
La: 0.367 0.367 0.349
La: 0.633 0.633 0.651
La: 0.895 0.895 0.989
Dy: 0.000 0.000 0.000
Dy: 0.070 0.070 0.360
Dy: 0.202 0.202 0.941
Dy: 0.264 0.264 0.352
Dy: 0.342 0.342 0.700
Dy: 0.462 0.462 0.270
Dy: 0.538 0.538 0.730
Dy: 0.658 0.658 0.300
Dy: 0.736 0.736 0.648
Dy: 0.798 0.798 0.059
Dy: 0.930 0.930 0.640
S: 0.008 0.008 0.241
S: 0.088 0.088 0.753
S: 0.136 0.136 0.452
S: 0.169 0.169 0.150
S: 0.189 0.189 0.690
S: 0.255 0.255 0.119
S: 0.280 0.280 0.591
S: 0.350 0.350 0.093
S: 0.407 0.407 0.788
S: 0.442 0.442 0.491
S: 0.453 0.453 0.030
S: 0.547 0.547 0.970
S: 0.558 0.558 0.509
S: 0.593 0.593 0.212
S: 0.650 0.650 0.907
S: 0.720 0.720 0.409
S: 0.745 0.745 0.881
S: 0.811 0.811 0.310
S: 0.831 0.831 0.850
S: 0.864 0.864 0.548
S: 0.912 0.912 0.247
S: 0.992 0.992 0.759

=====

The following is a calculated X-ray diffraction stick pattern of La5Dy3S8. It was derived from a cell relaxed with GGA-PBE, using Cu Kα.
Kinematic intensities with the Lorentz-polarization factor, no thermal factor.

The 10 most intense peaks (2θ = 10–90°), sorted by position:
26.72°, 3.336 Å, I = 19; 26.92°, 3.312 Å, I = 56; 31.12°, 2.874 Å, I = 100; 44.47°, 2.037 Å, I = 36; 44.72°, 2.027 Å, I = 36; 52.86°, 1.732 Å, I = 19; 55.48°, 1.656 Å, I = 19; 73.54°, 1.288 Å, I = 16; 73.91°, 1.282 Å, I = 16; 82.25°, 1.172 Å, I = 12

Structure:
a b c (Å): 8.150 8.150 8.150
angles (deg): 59.65 59.65 59.65
Atoms (fractional coordinates):
La: 0.000 0.000 0.000
La: 0.000 0.500 0.500
La: 0.500 0.000 0.500
La: 0.500 0.500 0.000
La: 0.500 0.500 0.500
Dy: 0.000 0.000 0.500
Dy: 0.000 0.500 0.000
Dy: 0.500 0.000 0.000
S: 0.235 0.750 0.750
S: 0.243 0.243 0.243
S: 0.250 0.250 0.765
S: 0.250 0.765 0.250
S: 0.750 0.235 0.750
S: 0.750 0.750 0.235
S: 0.757 0.757 0.757
S: 0.765 0.250 0.250

=====

The following is a calculated X-ray diffraction stick pattern of LaDy3S6. It was derived from a cell relaxed with GGA-PBE, using Cu Kα.
Kinematic intensities with the Lorentz-polarization factor, no thermal factor.

The 10 most intense peaks (2θ = 10–90°), sorted by position:
23.42°, 3.798 Å, I = 78; 24.00°, 3.708 Å, I = 100; 25.98°, 3.430 Å, I = 68; 27.18°, 3.280 Å, I = 43; 27.32°, 3.265 Å, I = 50; 30.67°, 2.915 Å, I = 73; 33.88°, 2.646 Å, I = 51; 41.92°, 2.155 Å, I = 77; 43.46°, 2.082 Å, I = 41; 45.06°, 2.012 Å, I = 46

Structure:
a b c (Å): 11.123 4.024 11.398
angles (deg): 90.00 108.71 90.00
Atoms (fractional coordinates):
La: 0.050 0.250 0.194
La: 0.950 0.750 0.806
Dy: 0.161 0.250 0.588
Dy: 0.321 0.750 0.999
Dy: 0.444 0.250 0.333
Dy: 0.556 0.750 0.667
Dy: 0.679 0.250 0.001
Dy: 0.839 0.750 0.412
S: 0.083 0.750 0.407
S: 0.120 0.250 0.963
S: 0.197 0.750 0.749
S: 0.268 0.750 0.229
S: 0.394 0.250 0.558
S: 0.478 0.250 0.111
S: 0.522 0.750 0.889
S: 0.606 0.750 0.442
S: 0.732 0.250 0.771
S: 0.803 0.250 0.251
S: 0.880 0.750 0.037
S: 0.917 0.250 0.593